# Cr2Hg2O9
Computed powder XRD pattern, a wavelength of 1.5418 Å. Input: a PBE+U-relaxed structure.
Kinematic intensities with the Lorentz-polarization factor, no thermal factor.

The 6 most intense peaks (10° ≤ 2θ ≤ 90°), sorted by position:
2θ/deg  I_rel
17.1  47
18.7  100
27.5  38
29.6  45
30.8  61
31.6  55

Cell and atoms:
Lattice parameters (Å, degrees): 6.553 6.553 13.738 107.42 107.42 47.91
Fractional positions:
Cr 0.043 0.652 0.905
Cr 0.348 0.957 0.595
Cr 0.652 0.043 0.405
Cr 0.957 0.348 0.095
Hg 0.150 0.605 0.622
Hg 0.395 0.850 0.878
Hg 0.605 0.150 0.122
Hg 0.850 0.395 0.378
O 0.100 0.787 0.835
O 0.102 0.369 0.840
O 0.103 0.297 0.569
O 0.213 0.900 0.665
O 0.242 0.585 0.014
O 0.297 0.103 0.069
O 0.369 0.102 0.340
O 0.415 0.758 0.486
O 0.435 0.565 0.250
O 0.565 0.435 0.750
O 0.585 0.242 0.514
O 0.631 0.898 0.660
O 0.703 0.897 0.931
O 0.758 0.415 0.986
O 0.787 0.100 0.335
O 0.897 0.703 0.431
O 0.898 0.631 0.160
O 0.900 0.213 0.165